Entry 1:
Computed XRD peak list of CdSb3 for a wavelength of 1.5418 Å, from a cell relaxed with PBE.

Structure:
```
data_CdSb3
_space_group_name_H-M_alt 'C 1 2/m 1'
_space_group_IT_number 12
_cell_length_a 8.251
_cell_length_b 3.263
_cell_length_c 8.277
_cell_angle_alpha 90.00
_cell_angle_beta 95.84
_cell_angle_gamma 90.00
loop_
_space_group_symop_operation_xyz
'x,y,z'
'-x,-y,-z'
'-x,y,-z'
'x,-y,z'
'x+1/2,y+1/2,z'
'-x+1/2,-y+1/2,-z'
'-x+1/2,y+1/2,-z'
'x+1/2,-y+1/2,z'
loop_
_atom_site_label
_atom_site_fract_x
_atom_site_fract_y
_atom_site_fract_z
Cd1 0.000 0.000 0.000
Sb1 0.000 0.500 0.500
Sb2 0.247 0.500 0.239
```

Most intense lines, 10° ≤ 2θ ≤ 80°, by angle:
d [Å]	Rel. int.
3.067	63
2.812	100
2.769	47
2.072	82
2.058	20
2.052	20

=====

Entry 2:
Computed XRD peak list of Cd3Sb for a wavelength of 1.5418 Å, from a cell relaxed with PBE.

Structure:
```
data_Cd3Sb
_space_group_name_H-M_alt 'P m -3 n'
_space_group_IT_number 223
_space_group_name_Hall '-P 4n 2 3'
_cell_length_a 5.877
_cell_length_b 5.877
_cell_length_c 5.877
_cell_angle_alpha 90.00
_cell_angle_beta 90.00
_cell_angle_gamma 90.00
loop_
_atom_site_label
_atom_site_fract_x
_atom_site_fract_y
_atom_site_fract_z
Cd1 0.000 0.250 0.500
Sb1 0.000 0.000 0.000
```

Most intense lines, 10° ≤ 2θ ≤ 80°, by angle:
d [Å]	Rel. int.
2.939	36
2.628	100
2.399	81
1.630	22
1.571	42
1.283	19

=====

Entry 3:
Computed XRD peak list of CdSb2 for a wavelength of 1.5418 Å, from a cell relaxed with PBE.

Structure:
```
data_CdSb2
_space_group_name_H-M_alt 'P -3 m 1'
_space_group_IT_number 164
_space_group_name_Hall '-P 3 2"'
_cell_length_a 4.2712
_cell_length_b 4.2712
_cell_length_c 5.5116
_cell_angle_alpha 90.00
_cell_angle_beta 90.00
_cell_angle_gamma 120.00
loop_
_atom_site_label
_atom_site_fract_x
_atom_site_fract_y
_atom_site_fract_z
Cd1 0.0000 0.0000 0.0000
Sb1 0.3333 0.6667 0.3419
```

Most intense lines, 10° ≤ 2θ ≤ 80°, by angle:
d [Å]	Rel. int.
3.071	100
2.210	40
2.136	36
1.753	19
1.393	17
1.355	16

=====

Entry 4:
Computed XRD peak list of Sc6Cd5Sb for a wavelength of 1.5418 Å, from a cell relaxed with PBE.

Structure:
```
data_Sc6Cd5Sb
_space_group_name_H-M_alt 'C m m m'
_space_group_IT_number 65
_space_group_name_Hall '-C 2 2'
_cell_length_a 5.043
_cell_length_b 15.213
_cell_length_c 6.935
_cell_angle_alpha 90.00
_cell_angle_beta 90.00
_cell_angle_gamma 90.00
loop_
_atom_site_label
_atom_site_fract_x
_atom_site_fract_y
_atom_site_fract_z
Sc1 0.000 0.000 0.245
Sc2 0.000 0.334 0.253
Cd1 0.000 0.165 0.500
Cd2 0.000 0.178 0.000
Cd3 0.000 0.500 0.500
Sb1 0.000 0.500 0.000
```

Most intense lines, 10° ≤ 2θ ≤ 80°, by angle:
d [Å]	Rel. int.
3.576	25
2.536	26
2.521	26
2.489	100
1.788	17
1.449	17

=====

Entry 5:
Computed XRD peak list of ScCdSb for a wavelength of 1.5418 Å, from a cell relaxed with PBE.

Structure:
```
data_ScCdSb
_space_group_name_H-M_alt 'C 1 2/m 1'
_space_group_IT_number 12
_cell_length_a 10.365
_cell_length_b 3.984
_cell_length_c 7.463
_cell_angle_alpha 90.00
_cell_angle_beta 106.82
_cell_angle_gamma 90.00
loop_
_space_group_symop_operation_xyz
'x,y,z'
'-x,-y,-z'
'-x,y,-z'
'x,-y,z'
'x+1/2,y+1/2,z'
'-x+1/2,-y+1/2,-z'
'-x+1/2,y+1/2,-z'
'x+1/2,-y+1/2,z'
loop_
_atom_site_label
_atom_site_fract_x
_atom_site_fract_y
_atom_site_fract_z
Sc1 0.154 0.000 0.131
Cd1 0.158 0.000 0.562
Sb1 0.054 0.500 0.812
```

Most intense lines, 10° ≤ 2θ ≤ 80°, by angle:
d [Å]	Rel. int.
3.614	34
3.148	28
2.720	100
2.586	29
2.545	61
2.384	50

=====

Entry 6:
Computed XRD peak list of CdSiSb2 for a wavelength of 1.5418 Å, from a cell relaxed with PBE.

Structure:
```
data_CdSiSb2
_space_group_name_H-M_alt 'P 1 m 1'
_space_group_IT_number 6
_cell_length_a 3.122
_cell_length_b 5.675
_cell_length_c 5.803
_cell_angle_alpha 90.00
_cell_angle_beta 90.03
_cell_angle_gamma 90.00
loop_
_space_group_symop_operation_xyz
'x,y,z'
'x,-y,z'
loop_
_atom_site_label
_atom_site_fract_x
_atom_site_fract_y
_atom_site_fract_z
Cd1 0.000 0.000 0.000
Si1 0.501 0.500 0.480
Sb1 0.002 0.500 0.876
Sb2 0.501 0.000 0.456
```

Most intense lines, 10° ≤ 2θ ≤ 80°, by angle:
d [Å]	Rel. int.
4.058	33
2.902	42
2.838	60
2.749	100
2.029	30
1.974	75

=====

Entry 7:
Computed XRD peak list of Sm5CdSb2 for a wavelength of 1.5418 Å, from a cell relaxed with PBE.

Structure:
```
data_Sm5CdSb2
_space_group_name_H-M_alt 'C m c m'
_space_group_IT_number 63
_space_group_name_Hall '-C 2c 2'
_cell_length_a 5.835
_cell_length_b 11.683
_cell_length_c 15.058
_cell_angle_alpha 90.00
_cell_angle_beta 90.00
_cell_angle_gamma 90.00
loop_
_atom_site_label
_atom_site_fract_x
_atom_site_fract_y
_atom_site_fract_z
Sm1 0.000 0.074 0.102
Sm2 0.000 0.378 0.054
Sm3 0.000 0.384 0.750
Cd1 0.000 0.303 0.250
Sb1 0.000 0.198 0.602
```

Most intense lines, 10° ≤ 2θ ≤ 80°, by angle:
d [Å]	Rel. int.
3.053	51
2.918	68
2.722	100
2.510	21
1.903	20
1.644	21

=====

Entry 8:
Computed XRD peak list of CdSn2Sb for a wavelength of 1.5418 Å, from a cell relaxed with PBE.

Structure:
```
data_CdSn2Sb
_space_group_name_H-M_alt 'R 3 m'
_space_group_IT_number 160
_space_group_name_Hall 'R 3 -2"'
_cell_length_a 4.4894
_cell_length_b 4.4894
_cell_length_c 20.4841
_cell_angle_alpha 90.00
_cell_angle_beta 90.00
_cell_angle_gamma 120.00
loop_
_atom_site_label
_atom_site_fract_x
_atom_site_fract_y
_atom_site_fract_z
Cd1 0.0000 0.0000 0.0000
Sn1 0.0000 0.0000 0.5891
Sn2 0.0000 0.0000 0.7530
Sb1 0.0000 0.0000 0.1690
```

Most intense lines, 10° ≤ 2θ ≤ 80°, by angle:
d [Å]	Rel. int.
3.635	51
2.820	100
2.338	56
2.245	74
1.756	25
1.359	29